[1]
Simulated powder diffractogram
Compound: LiPa3Se6
Radiation: Cu Ka
Structure: a cell relaxed with GGA-PBE
No peak broadening, texture or thermal motion is included.

Largest 6 diffraction maxima, sorted by position, 15° ≤ 2θ ≤ 90°:
index, d [Å], 2θ (°), intensity
1 1 1, 5.379, 16.48, 100
2 2 1, 3.645, 24.42, 100
1 3 1, 3.571, 24.93, 92
3 3 1, 2.643, 33.91, 86
3 1 2, 2.483, 36.17, 99
3 5 0, 2.181, 41.40, 85

Atomic structure:
abc: 11.123 13.499 6.903
angles: 90.00 90.00 90.00
Space group Cmc2_1 (No. 36)
Asymmetric unit:
Li: 0.000 0.197 0.000
Pa: 0.000 0.400 0.635
Pa: 0.173 0.100 0.530
Se: 0.000 0.027 0.817
Se: 0.000 0.233 0.366
Se: 0.165 0.462 0.334
Se: 0.176 0.270 0.803

[2]
Simulated powder diffractogram
Compound: LiThPa
Radiation: Cu Ka
Structure: a cell relaxed with GGA-PBE
No peak broadening, texture or thermal motion is included.

Largest 6 diffraction maxima, sorted by position, 15° ≤ 2θ ≤ 90°:
index, d [Å], 2θ (°), intensity
1 1 1, 4.026, 22.08, 100
2 2 0, 2.465, 36.45, 90
3 1 1, 2.102, 43.02, 55
3 3 1, 1.600, 57.62, 24
4 2 2, 1.423, 65.59, 34
5 3 1, 1.179, 81.70, 18

Atomic structure:
abc: 6.973 6.973 6.973
angles: 90.00 90.00 90.00
Space group F-43m (No. 216)
Asymmetric unit:
Li: 0.000 0.000 0.000
Th: 0.000 0.000 0.500
Pa: 0.250 0.250 0.250

[3]
Simulated powder diffractogram
Compound: Li2Sc2SnPd2Pb
Radiation: Cu Ka
Structure: a cell relaxed with GGA-PBE
No peak broadening, texture or thermal motion is included.

Largest 6 diffraction maxima, sorted by position, 15° ≤ 2θ ≤ 90°:
index, d [Å], 2θ (°), intensity
1 0 1, 3.798, 23.42, 57
2 0 0, 2.326, 38.71, 100
2 1 1, 1.984, 45.74, 30
2 2 0, 1.645, 55.90, 17
3 0 1, 1.509, 61.43, 13
3 1 2, 1.343, 70.07, 34

Atomic structure:
abc: 4.651 4.651 6.582
angles: 90.00 90.00 90.00
Space group P-4m2 (No. 115)
Asymmetric unit:
Li: 0.000 0.500 0.247
Sc: 0.000 0.000 0.000
Sc: 0.500 0.500 0.500
Sn: 0.500 0.500 0.000
Pd: 0.000 0.500 0.759
Pb: 0.000 0.000 0.500

[4]
Simulated powder diffractogram
Compound: Li2SnPd2Pb
Radiation: Cu Ka
Structure: a cell relaxed with GGA-PBE
No peak broadening, texture or thermal motion is included.

Largest 6 diffraction maxima, sorted by position, 15° ≤ 2θ ≤ 90°:
index, d [Å], 2θ (°), intensity
1 0 0, 4.079, 21.79, 65
0 0 2, 2.879, 31.07, 35
1 1 0, 2.354, 38.24, 100
1 1 2, 1.823, 50.04, 56
3 0 0, 1.359, 69.10, 24
1 1 4, 1.229, 77.72, 32

Atomic structure:
abc: 4.7097 4.7097 5.7577
angles: 90.00 90.00 120.00
Space group P-6m2 (No. 187)
Asymmetric unit:
Li: 0.0000 0.0000 0.2493
Sn: 0.6667 0.3333 0.0000
Pd: 0.3333 0.6667 0.0000
Pd: 0.6667 0.3333 0.5000
Pb: 0.3333 0.6667 0.5000

[5]
Simulated powder diffractogram
Compound: Li4ZnPd2Pb
Radiation: Cu Ka
Structure: a cell relaxed with GGA-PBE
No peak broadening, texture or thermal motion is included.

Largest 6 diffraction maxima, sorted by position, 15° ≤ 2θ ≤ 90°:
index, d [Å], 2θ (°), intensity
1 0 1, 3.626, 24.55, 100
1 1 1, 2.808, 31.87, 13
2 0 0, 2.221, 40.63, 91
1 0 3, 1.897, 47.95, 16
2 1 1, 1.892, 48.09, 33
3 1 2, 1.281, 73.98, 20

Atomic structure:
abc: 4.436 4.436 6.297
angles: 90.00 90.00 90.00
Space group P-4m2 (No. 115)
Asymmetric unit:
Li: 0.000 0.000 0.000
Li: 0.000 0.500 0.223
Li: 0.500 0.500 0.500
Zn: 0.500 0.500 0.000
Pd: 0.000 0.500 0.774
Pb: 0.000 0.000 0.500

[6]
Simulated powder diffractogram
Compound: LiTcPb2
Radiation: Cu Ka
Structure: a cell relaxed with GGA-PBE
No peak broadening, texture or thermal motion is included.

Largest 6 diffraction maxima, sorted by position, 15° ≤ 2θ ≤ 90°:
index, d [Å], 2θ (°), intensity
1 1 1, 4.102, 21.66, 43
2 2 0, 2.512, 35.74, 100
3 1 1, 2.142, 42.18, 25
4 0 0, 1.776, 51.44, 18
4 2 2, 1.450, 64.22, 37
6 2 0, 1.124, 86.66, 17

Atomic structure:
abc: 7.106 7.106 7.106
angles: 90.00 90.00 90.00
Space group F-43m (No. 216)
Asymmetric unit:
Li: 0.000 0.000 0.000
Tc: 0.250 0.250 0.750
Pb: 0.000 0.000 0.500
Pb: 0.250 0.250 0.250